[1]
Diffraction record for Dy2GaCo2. The XRD peak list is calculated, not measured: it uses a PBE-relaxed structure and Cu Kα (λ = 1.5418 Å).

Atomic structure:
```
data_Dy2GaCo2
_chemical_formula_sum 'Dy4 Ga2 Co4'
_cell_length_a 5.384
_cell_length_b 5.384
_cell_length_c 7.563
_cell_angle_alpha 102.39
_cell_angle_beta 102.39
_cell_angle_gamma 59.58
_symmetry_space_group_name_H-M 'P 1'
_symmetry_Int_Tables_number 1
_symmetry_space_group_name_Hall 'P 1'
loop_
_atom_site_label
_atom_site_type_symbol
_atom_site_fract_x
_atom_site_fract_y
_atom_site_fract_z
Dy1 Dy 0.005 0.704 0.854
Dy2 Dy 0.296 0.995 0.646
Dy3 Dy 0.704 0.005 0.354
Dy4 Dy 0.995 0.296 0.146
Ga1 Ga 0.368 0.632 0.250
Ga2 Ga 0.632 0.368 0.750
Co1 Co 0.209 0.504 0.494
Co2 Co 0.496 0.791 0.006
Co3 Co 0.504 0.209 0.994
Co4 Co 0.791 0.496 0.506
```

Top 10 peaks for 2θ = 5–70°, low angle first:
2θ/deg, I/Imax
24.08, 21
27.26, 31
33.65, 47
35.11, 47
35.73, 60
37.57, 27
38.80, 23
39.52, 100
39.82, 22
42.60, 34

[2]
Diffraction record for Pr3Ga4. The XRD peak list is calculated, not measured: it uses a PBE-relaxed structure and Cu Kα (λ = 1.5418 Å).

Atomic structure:
```
data_Pr3Ga4
_chemical_formula_sum 'Pr3 Ga4'
_cell_length_a 9.963
_cell_length_b 9.963
_cell_length_c 9.963
_cell_angle_alpha 155.39
_cell_angle_beta 154.29
_cell_angle_gamma 35.89
_symmetry_space_group_name_H-M 'P 1'
_symmetry_Int_Tables_number 1
_symmetry_space_group_name_Hall 'P 1'
loop_
_atom_site_label
_atom_site_type_symbol
_atom_site_fract_x
_atom_site_fract_y
_atom_site_fract_z
Pr1 Pr 0.000 0.000 0.000
Pr2 Pr 0.184 0.684 0.500
Pr3 Pr 0.816 0.316 0.500
Ga1 Ga 0.359 0.859 0.500
Ga2 Ga 0.435 0.435 0.000
Ga3 Ga 0.565 0.565 0.000
Ga4 Ga 0.641 0.141 0.500
```

Top 10 peaks for 2θ = 5–70°, low angle first:
2θ/deg, I/Imax
25.27, 20
30.64, 100
31.04, 56
34.85, 28
39.47, 29
40.70, 28
42.58, 24
53.62, 24
57.99, 18
60.37, 17

[3]
Diffraction record for Co2Ir4Rh3. The XRD peak list is calculated, not measured: it uses a PBE-relaxed structure and Cu Kα (λ = 1.5418 Å).

Atomic structure:
```
data_Co2Ir4Rh3
_chemical_formula_sum 'Co2 Ir4 Rh3'
_cell_length_a 7.648
_cell_length_b 7.648
_cell_length_c 7.648
_cell_angle_alpha 159.58
_cell_angle_beta 123.93
_cell_angle_gamma 60.31
_symmetry_space_group_name_H-M 'P 1'
_symmetry_Int_Tables_number 1
_symmetry_space_group_name_Hall 'P 1'
loop_
_atom_site_label
_atom_site_type_symbol
_atom_site_fract_x
_atom_site_fract_y
_atom_site_fract_z
Co1 Co 0.155 0.000 0.155
Co2 Co 0.845 0.000 0.845
Ir1 Ir 0.023 0.339 0.684
Ir2 Ir 0.346 0.661 0.684
Ir3 Ir 0.654 0.339 0.316
Ir4 Ir 0.977 0.661 0.316
Rh1 Rh 0.330 0.830 0.500
Rh2 Rh 0.500 0.500 0.000
Rh3 Rh 0.670 0.170 0.500
```

Top 10 peaks for 2θ = 5–70°, low angle first:
2θ/deg, I/Imax
13.39, 33
37.99, 42
38.16, 59
39.00, 35
40.94, 67
42.96, 41
45.04, 30
46.75, 100
51.45, 18
62.61, 17

[4]
Diffraction record for PuP2Cl8. The XRD peak list is calculated, not measured: it uses a PBE-relaxed structure and Cu Kα (λ = 1.5418 Å).

Atomic structure:
```
data_PuP2Cl8
_chemical_formula_sum 'Pu1 P2 Cl8'
_cell_length_a 7.206
_cell_length_b 7.787
_cell_length_c 8.577
_cell_angle_alpha 112.38
_cell_angle_beta 106.58
_cell_angle_gamma 97.71
_symmetry_space_group_name_H-M 'P 1'
_symmetry_Int_Tables_number 1
_symmetry_space_group_name_Hall 'P 1'
loop_
_atom_site_label
_atom_site_type_symbol
_atom_site_fract_x
_atom_site_fract_y
_atom_site_fract_z
Pu1 Pu 0.000 0.000 0.000
P1 P 0.381 0.483 0.063
P2 P 0.619 0.517 0.937
Cl1 Cl 0.020 0.322 0.241
Cl2 Cl 0.224 0.926 0.238
Cl3 Cl 0.354 0.177 0.963
Cl4 Cl 0.418 0.415 0.679
Cl5 Cl 0.582 0.585 0.321
Cl6 Cl 0.646 0.823 0.037
Cl7 Cl 0.776 0.074 0.762
Cl8 Cl 0.980 0.678 0.759
```

Top 10 peaks for 2θ = 5–70°, low angle first:
2θ/deg, I/Imax
12.00, 100
12.78, 19
13.12, 33
14.30, 29
15.75, 56
18.08, 42
19.39, 27
21.10, 18
30.22, 26
31.00, 16